(1)
Dy2YTm2Lu2Ni2Se2: simulated X-ray powder pattern (Cu Kα (weighted mean of Kα1 and Kα2)), based on a structure optimized by DFT (GGA-PBE).
No peak broadening, texture or thermal motion is included.

Top 6 peaks for 2θ from 10° to 90°, in order of rising 2θ:
2θ (°), I (rel.), hkl
31.2, 53, 1 1 2
34.4, 70, 0 3 3
35.2, 100, 1 4 1
35.7, 63, 1 3 2
48.2, 29, 2 0 0
60.5, 34, 2 3 3

Structure:
```
data_Dy2YTm2Lu2Ni2Se2
_symmetry_space_group_name_H-M 'I m m 2'
_symmetry_Int_Tables_number 44
_cell_length_a 3.776
_cell_length_b 14.962
_cell_length_c 9.186
_cell_angle_alpha 90.00
_cell_angle_beta 90.00
_cell_angle_gamma 90.00
loop_
_symmetry_equiv_pos_as_xyz
'x,y,z'
'-x,-y,z'
'-x,y,z'
'x,-y,z'
'x+1/2,y+1/2,z+1/2'
'-x+1/2,-y+1/2,z+1/2'
'-x+1/2,y+1/2,z+1/2'
'x+1/2,-y+1/2,z+1/2'
loop_
_atom_site_label
_atom_site_type_symbol
_atom_site_fract_x
_atom_site_fract_y
_atom_site_fract_z
_atom_site_occupancy
Dy1 Dy 0.000 0.142 0.000 1
Y1 Y 0.000 0.500 0.743 1
Tm1 Tm 0.000 0.183 0.361 1
Lu1 Lu 0.000 0.374 0.155 1
Ni1 Ni 0.000 0.259 0.667 1
Se1 Se 0.000 0.000 0.504 1
Se2 Se 0.000 0.500 0.399 1
```

(2)
DyY2Lu4Ni2Se2: simulated X-ray powder pattern (Cu Kα (weighted mean of Kα1 and Kα2)), based on a structure optimized by DFT (GGA-PBE).
No peak broadening, texture or thermal motion is included.

Top 6 peaks for 2θ from 10° to 90°, in order of rising 2θ:
2θ (°), I (rel.), hkl
29.7, 41, 0 1 3
31.2, 58, 1 1 2
31.5, 37, 0 5 1
34.3, 68, 0 3 3
35.1, 100, 1 4 1
35.6, 68, 1 3 2

Structure:
```
data_DyY2Lu4Ni2Se2
_symmetry_space_group_name_H-M 'I m m 2'
_symmetry_Int_Tables_number 44
_cell_length_a 3.788
_cell_length_b 14.936
_cell_length_c 9.204
_cell_angle_alpha 90.00
_cell_angle_beta 90.00
_cell_angle_gamma 90.00
loop_
_symmetry_equiv_pos_as_xyz
'x,y,z'
'-x,-y,z'
'-x,y,z'
'x,-y,z'
'x+1/2,y+1/2,z+1/2'
'-x+1/2,-y+1/2,z+1/2'
'-x+1/2,y+1/2,z+1/2'
'x+1/2,-y+1/2,z+1/2'
loop_
_atom_site_label
_atom_site_type_symbol
_atom_site_fract_x
_atom_site_fract_y
_atom_site_fract_z
_atom_site_occupancy
Dy1 Dy 0.000 0.000 0.000 1
Y1 Y 0.000 0.358 0.256 1
Lu1 Lu 0.000 0.127 0.411 1
Lu2 Lu 0.000 0.317 0.617 1
Ni1 Ni 0.000 0.241 0.927 1
Se1 Se 0.000 0.000 0.655 1
Se2 Se 0.000 0.500 0.760 1
```

(3)
Dy3Y2Lu2Ni2Se2: simulated X-ray powder pattern (Cu Kα (weighted mean of Kα1 and Kα2)), based on a structure optimized by DFT (GGA-PBE).
No peak broadening, texture or thermal motion is included.

Top 6 peaks for 2θ from 10° to 90°, in order of rising 2θ:
2θ (°), I (rel.), hkl
29.5, 44, 0 1 3
31.0, 58, 1 1 2
31.3, 41, 0 5 1
34.1, 67, 0 3 3
35.0, 100, 1 4 1
35.4, 66, 1 3 2

Structure:
```
data_Dy3Y2Lu2Ni2Se2
_symmetry_space_group_name_H-M 'I m m 2'
_symmetry_Int_Tables_number 44
_cell_length_a 3.795
_cell_length_b 15.027
_cell_length_c 9.273
_cell_angle_alpha 90.00
_cell_angle_beta 90.00
_cell_angle_gamma 90.00
loop_
_symmetry_equiv_pos_as_xyz
'x,y,z'
'-x,-y,z'
'-x,y,z'
'x,-y,z'
'x+1/2,y+1/2,z+1/2'
'-x+1/2,-y+1/2,z+1/2'
'-x+1/2,y+1/2,z+1/2'
'x+1/2,-y+1/2,z+1/2'
loop_
_atom_site_label
_atom_site_type_symbol
_atom_site_fract_x
_atom_site_fract_y
_atom_site_fract_z
_atom_site_occupancy
Dy1 Dy 0.000 0.000 0.000 1
Dy2 Dy 0.000 0.126 0.412 1
Y1 Y 0.000 0.359 0.258 1
Lu1 Lu 0.000 0.317 0.616 1
Ni1 Ni 0.000 0.239 0.927 1
Se1 Se 0.000 0.000 0.662 1
Se2 Se 0.000 0.500 0.755 1
```

(4)
Dy2Lu5Ni2Te2: simulated X-ray powder pattern (Cu Kα (weighted mean of Kα1 and Kα2)), based on a structure optimized by DFT (GGA-PBE).
No peak broadening, texture or thermal motion is included.

Top 6 peaks for 2θ from 10° to 90°, in order of rising 2θ:
2θ (°), I (rel.), hkl
30.7, 77, 1 1 2
33.5, 83, 0 3 3
34.6, 100, 1 4 1
35.0, 51, 1 3 2
47.8, 30, 2 0 0
59.6, 32, 2 3 3

Structure:
```
data_Dy2Lu5Ni2Te2
_symmetry_space_group_name_H-M 'I m m 2'
_symmetry_Int_Tables_number 44
_cell_length_a 3.805
_cell_length_b 15.321
_cell_length_c 9.439
_cell_angle_alpha 90.00
_cell_angle_beta 90.00
_cell_angle_gamma 90.00
loop_
_symmetry_equiv_pos_as_xyz
'x,y,z'
'-x,-y,z'
'-x,y,z'
'x,-y,z'
'x+1/2,y+1/2,z+1/2'
'-x+1/2,-y+1/2,z+1/2'
'-x+1/2,y+1/2,z+1/2'
'x+1/2,-y+1/2,z+1/2'
loop_
_atom_site_label
_atom_site_type_symbol
_atom_site_fract_x
_atom_site_fract_y
_atom_site_fract_z
_atom_site_occupancy
Dy1 Dy 0.000 0.134 0.000 1
Lu1 Lu 0.000 0.000 0.419 1
Lu2 Lu 0.000 0.315 0.796 1
Lu3 Lu 0.000 0.354 0.146 1
Ni1 Ni 0.000 0.235 0.488 1
Te1 Te 0.000 0.000 0.755 1
Te2 Te 0.000 0.500 0.654 1
```